Computed powder diffractogram of Ba2NdH12Rh3 for Cu Kα X-rays, from a structure optimized by DFT (PBE).

Cell and atoms:
```
data_Ba2NdH12Rh3
_chemical_formula_sum 'Ba2 Nd1 H12 Rh3'
_cell_length_a 6.380
_cell_length_b 6.380
_cell_length_c 6.380
_cell_angle_alpha 65.91
_cell_angle_beta 65.91
_cell_angle_gamma 65.91
_symmetry_space_group_name_H-M 'P 1'
_symmetry_Int_Tables_number 1
loop_
_symmetry_equiv_pos_as_xyz
'x,y,z'
loop_
_atom_site_label
_atom_site_fract_x
_atom_site_fract_y
_atom_site_fract_z
Ba1 0.114 0.114 0.114
Ba2 0.886 0.886 0.886
Nd1 0.500 0.500 0.500
H1 0.087 0.625 0.625
H2 0.221 0.221 0.587
H3 0.221 0.587 0.221
H4 0.375 0.375 0.913
H5 0.375 0.913 0.375
H6 0.413 0.779 0.779
H7 0.587 0.221 0.221
H8 0.625 0.087 0.625
H9 0.625 0.625 0.087
H10 0.779 0.413 0.779
H11 0.779 0.779 0.413
H12 0.913 0.375 0.375
Rh1 0.000 0.500 0.500
Rh2 0.500 0.000 0.500
Rh3 0.500 0.500 0.000
```

Peak list (12 most intense, 5° ≤ 2θ ≤ 70°, low angle first)
| two_theta | I/Imax |
| --- | --- |
| 25.67 | 48 |
| 28.19 | 20 |
| 30.34 | 51 |
| 31.45 | 100 |
| 32.12 | 76 |
| 33.58 | 64 |
| 45.25 | 14 |
| 49.03 | 29 |
| 50.53 | 40 |
| 52.75 | 44 |
| 58.30 | 26 |
| 64.00 | 20 |